Diffraction record for Ac3Sc2MnO9. The X-ray powder pattern is computed, not measured: it uses a cell relaxed with GGA+U and Cu Kα (λ = 1.5418 Å).
Kinematic intensities with the Lorentz-polarization factor, no thermal factor.

Cell and atoms:
Lattice parameters (Å, degrees): 5.7493 5.7493 7.0012 90.00 90.00 120.00
Sites, in units of the cell vectors:
Ac 0.0000 0.0000 0.0000
Ac 0.3333 0.6667 0.6625
Ac 0.6667 0.3333 0.3375
Sc 0.3333 0.6667 0.1720
Sc 0.6667 0.3333 0.8280
Mn 0.0000 0.0000 0.5000
O 0.0000 0.5000 0.0000
O 0.1626 0.3251 0.3406
O 0.1626 0.8374 0.3406
O 0.3251 0.1626 0.6594
O 0.5000 0.0000 0.0000
O 0.5000 0.5000 0.0000
O 0.6749 0.8374 0.3406
O 0.8374 0.1626 0.6594
O 0.8374 0.6749 0.6594

Most intense lines, 10° ≤ 2θ ≤ 80°, sorted by position:
(hkl)	d/Å	Position (°2θ)	I_rel
1 0 1	4.058	21.91	84
1 1 0	2.875	31.11	100
0 1 2	2.864	31.23	99
0 2 1	2.346	38.38	44
2 0 2	2.029	44.67	58
2 1 1	1.817	50.20	22
1 1 3	1.812	50.36	22
3 0 0	1.658	55.41	61
1 0 4	1.651	55.66	20
2 2 0	1.437	64.87	18